Starting from the PBE geometry in OQMD, the powder XRD pattern of Rb2PdSe16 was computed for Cu Ka.

Most intense lines, 15° ≤ 2θ ≤ 90°, most intense first:
2θ/deg, I (rel.)
25.3, 100.0
31.4, 66.9
25.5, 52.6
16.0, 51.0
29.9, 42.2
36.0, 40.8
48.8, 33.6
54.5, 31.1

Atomic structure:
```
data_Rb2PdSe16
_cell_length_a 12.879
_cell_length_b 12.879
_cell_length_c 6.983
_cell_angle_alpha 90.00
_cell_angle_beta 90.00
_cell_angle_gamma 90.00
_symmetry_space_group_name_H-M 'P -4 b 2'
_symmetry_Int_Tables_number 117
loop_
_symmetry_equiv_pos_as_xyz
'x,y,z'
'y,-x,-z'
'-x,-y,z'
'-y,x,-z'
'-x+1/2,y+1/2,z'
'-y+1/2,-x+1/2,-z'
'x+1/2,-y+1/2,z'
'y+1/2,x+1/2,-z'
loop_
_atom_site_label
_atom_site_fract_x
_atom_site_fract_y
_atom_site_fract_z
_atom_site_occupancy
Rb1 0.000 0.000 0.000 1
Rb2 0.000 0.500 0.500 1
Pd1 0.000 0.000 0.500 1
Se1 0.032 0.188 0.530 1
Se2 0.077 0.693 0.913 1
Se3 0.082 0.307 0.093 1
Se4 0.203 0.791 0.371 1
```